Computed powder diffractogram
Compound: Li3Mn2CoO6
Radiation: Cu Kα
Structure: a structure optimized by DFT (GGA+U)
Neutral-atom scattering factors, no anomalous dispersion.

Peak list (10 most intense, 2θ from 15° to 90°, in order of rising 2θ)
2θ/deg  d [Å]  I/Imax  h k l
18.20  4.875  100  0 0 2
34.27  2.617  16  2 0 0
35.95  2.498  27  1 3 -1
36.91  2.435  9  0 0 4
37.06  2.426  9  1 3 1
41.10  2.196  30  2 0 2
43.87  2.064  49  1 3 -3
46.64  1.947  10  1 3 3
61.68  1.504  29  3 3 -1
63.96  1.456  12  0 6 0

Cell and atoms:
```
data_Li3Mn2CoO6
_symmetry_space_group_name_H-M 'C 1 2/c 1'
_symmetry_Int_Tables_number 15
_cell_length_a 5.2731
_cell_length_b 8.7314
_cell_length_c 9.8237
_cell_angle_alpha 90.00
_cell_angle_beta 97.05
_cell_angle_gamma 90.00
loop_
_symmetry_equiv_pos_as_xyz
'x,y,z'
'-x,-y,-z'
'-x,y,-z+1/2'
'x,-y,z+1/2'
'x+1/2,y+1/2,z'
'-x+1/2,-y+1/2,-z'
'-x+1/2,y+1/2,-z+1/2'
'x+1/2,-y+1/2,z+1/2'
loop_
_atom_site_label
_atom_site_type_symbol
_atom_site_fract_x
_atom_site_fract_y
_atom_site_fract_z
Li1 Li 0.2232 0.0829 0.4945
Li2 Li 0.2500 0.2500 0.0000
Mn1 Mn 0.0000 0.0793 0.7500
Mn2 Mn 0.0000 0.4134 0.7500
Co1 Co 0.0000 0.2505 0.2500
O1 O 0.1117 0.2462 0.6356
O2 O 0.1176 0.0740 0.1319
O3 O 0.1567 0.4263 0.1431
```